Diffraction record for HfNiAs2O8. The powder diffraction line list is simulated, not measured: it uses a cell relaxed with GGA+U and CuKα.
Lines closer than 0.1° are merged.

Top 8 peaks for 5 to 70 degrees two-theta, sorted by position:
| index | Position (°2θ) | I/Imax |
| --- | --- | --- |
| 1 0 0 | 18.54 | 58.8 |
| 1 0 1 | 23.91 | 100.0 |
| 1 1 0 | 32.39 | 84.6 |
| 0 1 2 | 35.69 | 60.5 |
| 2 0 2 | 48.96 | 38.4 |
| 2 1 1 | 52.92 | 23.0 |
| 1 1 3 | 57.41 | 17.8 |
| 1 2 2 | 59.93 | 29.1 |

Cell and atoms:
```
HfNiAs2O8
1.0
5.528 0.000 0.000
-2.764 4.787 0.000
0.000 0.000 5.915
Hf Ni As O
1 1 2 8
direct
0.000 0.000 0.000
0.000 0.000 0.500
0.333 0.667 0.666
0.667 0.333 0.334
0.162 0.325 0.770
0.162 0.838 0.770
0.325 0.162 0.230
0.333 0.667 0.388
0.667 0.333 0.612
0.675 0.838 0.770
0.838 0.162 0.230
0.838 0.675 0.230
```